No. 1
# K2Re2O7
Calculated X-ray powder pattern, a wavelength of 1.5418 Å. Input: a PBE-relaxed structure.
Lines closer than 0.1° are merged.

Structural model:
a b c (Å): 7.794 10.623 5.782
angles (deg): 90.00 101.98 90.00
Space group C2/m (No. 12)
One atom of each set of equivalent atoms:
K: 0.000 0.189 0.000 x4
Re: 0.216 0.500 0.408 x4
O: 0.000 0.500 0.500 x2
O: 0.131 0.000 0.316 x4
O: 0.232 0.363 0.238 x8

Peak list (10 most intense, 10° ≤ 2θ ≤ 90°, sorted by position)
Position (°2θ)	I/Imax	hkl
15.67	28	0 0 1
16.69	48	0 2 0
22.99	100	0 2 1
23.33	17	2 0 0
25.32	33	2 0 -1
28.83	29	2 2 0
30.48	19	2 2 -1
37.11	12	1 1 2
37.41	12	0 4 1
44.50	14	1 3 2

No. 2
# Ac2PuZn3Ga4
Calculated X-ray powder pattern, a wavelength of 1.5418 Å. Input: a PBE-relaxed structure.
Lines closer than 0.1° are merged.

Structural model:
a b c (Å): 4.521 4.521 11.311
angles (deg): 90.00 90.00 90.00
Space group P-4m2 (No. 115)
One atom of each set of equivalent atoms:
Ac: 0.000 0.500 0.236 x2
Pu: 0.000 0.000 0.500 x1
Zn: 0.000 0.500 0.881 x2
Zn: 0.500 0.500 0.500 x1
Ga: 0.000 0.000 0.000 x1
Ga: 0.000 0.500 0.657 x2
Ga: 0.500 0.500 0.000 x1

Peak list (10 most intense, 10° ≤ 2θ ≤ 90°, sorted by position)
Position (°2θ)	I/Imax	hkl
21.16	23	1 0 1
30.88	44	1 0 3
32.16	100	1 1 2
39.88	45	2 0 0
44.80	21	1 0 5
51.27	22	2 1 3
56.68	12	1 1 6
57.66	16	2 2 0
61.51	15	2 1 5
67.58	24	3 1 2

No. 3
# Pr4Ga2Pd5
Calculated X-ray powder pattern, a wavelength of 1.5418 Å. Input: a PBE-relaxed structure.
Lines closer than 0.1° are merged.

Structural model:
a b c (Å): 7.207 4.113 8.444
angles (deg): 90.00 90.09 90.00
Space group P2/m (No. 10)
One atom of each set of equivalent atoms:
Pr: 0.232 0.000 0.127 x2
Pr: 0.259 0.000 0.618 x2
Ga: 0.418 0.500 0.870 x2
Pd: 0.000 0.500 0.500 x1
Pd: 0.068 0.500 0.838 x2
Pd: 0.368 0.500 0.369 x2

Peak list (10 most intense, 10° ≤ 2θ ≤ 90°, sorted by position)
Position (°2θ)	I/Imax	hkl
24.43	9	1 0 -2
32.84	100	1 1 2
33.05	48	2 1 0
42.84	14	0 0 4
43.34	31	3 0 2
44.03	23	0 2 0
55.16	10	2 1 4
63.49	19	3 2 2
72.13	9	1 1 -6
73.85	10	1 3 2

No. 4
# FeCoIr4
Calculated X-ray powder pattern, a wavelength of 1.5418 Å. Input: a PBE-relaxed structure.
Lines closer than 0.1° are merged.

Structural model:
a b c (Å): 3.777 11.203 7.637
angles (deg): 90.00 90.00 90.00
Space group Cmc2_1 (No. 36)
One atom of each set of equivalent atoms:
Fe: 0.000 0.167 0.000 x4
Co: 0.000 0.334 0.247 x4
Ir: 0.000 0.003 0.751 x4
Ir: 0.000 0.172 0.501 x4
Ir: 0.000 0.329 0.753 x4
Ir: 0.000 0.496 0.500 x4

Peak list (10 most intense, 10° ≤ 2θ ≤ 90°, sorted by position)
Position (°2θ)	I/Imax	hkl
27.52	10	1 1 1
41.42	100	1 3 2
47.63	17	0 0 4
48.18	16	2 0 0
48.77	16	0 6 0
70.08	11	2 0 4
70.56	11	0 6 4
84.39	13	1 3 6
85.21	13	3 3 2
86.10	12	1 9 2

No. 5
# EuAg5
Calculated X-ray powder pattern, a wavelength of 1.5418 Å. Input: a PBE-relaxed structure.
Lines closer than 0.1° are merged.

Structural model:
a b c (Å): 5.6651 5.6651 4.7302
angles (deg): 90.00 90.00 120.00
Space group P6/mmm (No. 191)
One atom of each set of equivalent atoms:
Eu: 0.0000 0.0000 0.0000 x1
Ag: 0.0000 0.5000 0.5000 x3
Ag: 0.3333 0.6667 0.0000 x2

Peak list (10 most intense, 10° ≤ 2θ ≤ 90°, sorted by position)
Position (°2θ)	I/Imax	hkl
26.17	24	1 0 1
31.59	22	1 1 0
36.63	31	2 0 0
36.99	100	1 1 1
38.05	33	0 0 2
41.47	26	2 0 1
53.85	19	2 0 2
59.84	23	3 0 1
65.96	18	2 2 0
78.76	22	2 2 2

No. 6
# KYSiSe4
Calculated X-ray powder pattern, a wavelength of 1.5418 Å. Input: a PBE-relaxed structure.
Lines closer than 0.1° are merged.

Structural model:
a b c (Å): 6.699 6.967 9.103
angles (deg): 90.00 107.58 90.00
Space group P2_1/m (No. 11)
One atom of each set of equivalent atoms:
K: 0.246 0.250 0.439 x2
Y: 0.271 0.250 0.948 x2
Si: 0.276 0.750 0.172 x2
Se: 0.073 0.750 0.922 x2
Se: 0.078 0.750 0.334 x2
Se: 0.494 0.504 0.788 x4

Peak list (10 most intense, 10° ≤ 2θ ≤ 90°, sorted by position)
Position (°2θ)	I/Imax	hkl
10.19	74	0 0 1
28.14	29	1 0 2
29.24	100	2 0 -2
30.98	39	1 1 2
32.05	26	2 1 -2
32.98	29	0 2 2
33.31	36	1 2 -2
38.24	18	2 2 0
39.64	19	1 0 -4
44.51	16	3 1 0

No. 7
# BiAsRh
Calculated X-ray powder pattern, a wavelength of 1.5418 Å. Input: a PBE-relaxed structure.
Lines closer than 0.1° are merged.

Structural model:
a b c (Å): 6.591 6.523 6.628
angles (deg): 90.00 115.13 90.00
Space group P2_1/c (No. 14)
One atom of each set of equivalent atoms:
Bi: 0.155 0.131 0.363 x4
As: 0.351 0.642 0.668 x4
Rh: 0.295 0.516 0.297 x4

Peak list (10 most intense, 10° ≤ 2θ ≤ 90°, sorted by position)
Position (°2θ)	I/Imax	hkl
20.15	23	1 1 0
29.95	29	2 0 0
31.78	100	1 2 -1
32.86	48	0 1 2
33.01	52	2 1 0
43.43	35	1 1 -3
43.68	33	3 1 -1
49.16	41	1 3 1
51.08	23	3 1 -3
61.78	21	1 2 3

No. 8
# Nb2Ag4B
Calculated X-ray powder pattern, a wavelength of 1.5418 Å. Input: a PBE-relaxed structure.
Lines closer than 0.1° are merged.

Structural model:
a b c (Å): 4.018 4.018 16.933
angles (deg): 90.00 90.00 90.00
Space group I4/mmm (No. 139)
One atom of each set of equivalent atoms:
Nb: 0.000 0.000 0.210 x4
Ag: 0.000 0.000 0.369 x4
Ag: 0.000 0.500 0.000 x4
B: 0.000 0.000 0.500 x2

Peak list (10 most intense, 10° ≤ 2θ ≤ 90°, sorted by position)
Position (°2θ)	I/Imax	hkl
22.75	22	1 0 1
33.27	100	1 1 2
34.64	50	1 0 5
38.15	48	1 1 4
43.68	43	1 0 7
45.13	54	2 0 0
58.12	21	2 1 5
64.62	26	2 1 7
75.18	20	1 1 12
75.70	17	3 1 2

Which formula does entry 6 have?
KYSiSe4